[1]
Calculated powder X-ray diffraction pattern of TaCo3 for copper Kα, from a DFT-relaxed cell (GGA-PBE, the Materials Project).
Lines closer than 0.1° are merged.

Peak list (6 most intense, 15 to 90 degrees two-theta, sorted by position)
h k l  2θ (°)  I/Imax
1 0 1  22.6  35
1 0 5  36.5  40
1 1 0  38.2  65
0 1 6  41.6  70
1 1 4  45.1  100
2 0 2  46.0  42

a = 4.709 Å, b = 4.709 Å, c = 15.408 Å
α = 90.00°, β = 90.00°, γ = 120.00°
Positions (direct):
Ta: 0.000 0.000 0.091
Ta: 0.000 0.000 0.909
Ta: 0.333 0.667 0.648
Ta: 0.333 0.667 0.841
Ta: 0.667 0.333 0.159
Ta: 0.667 0.333 0.352
Co: 0.000 0.000 0.414
Co: 0.000 0.000 0.586
Co: 0.000 0.500 0.000
Co: 0.000 0.500 0.500
Co: 0.162 0.325 0.252
Co: 0.162 0.838 0.252
Co: 0.325 0.162 0.748
Co: 0.333 0.667 0.128
Co: 0.333 0.667 0.374
Co: 0.500 0.000 0.000
Co: 0.500 0.000 0.500
Co: 0.500 0.500 0.000
Co: 0.500 0.500 0.500
Co: 0.667 0.333 0.626
Co: 0.667 0.333 0.872
Co: 0.675 0.838 0.252
Co: 0.838 0.162 0.748
Co: 0.838 0.675 0.748


[2]
Calculated powder X-ray diffraction pattern of TaCo3 for copper Kα, from a DFT-relaxed cell (GGA-PBE, the Materials Project).
Lines closer than 0.1° are merged.

Peak list (6 most intense, 15 to 90 degrees two-theta, sorted by position)
h k l  2θ (°)  I/Imax
1 0 2  32.1  31
1 1 0  38.3  66
0 1 3  41.7  100
1 1 2  45.3  90
0 2 1  46.2  64
1 2 3  71.6  38

a = 4.699 Å, b = 4.699 Å, c = 7.666 Å
α = 90.00°, β = 90.00°, γ = 120.00°
Positions (direct):
Ta: 0.000 0.000 0.000
Ta: 0.000 0.000 0.383
Ta: 0.333 0.667 0.836
Co: 0.009 0.504 0.182
Co: 0.330 0.165 0.680
Co: 0.333 0.667 0.489
Co: 0.496 0.504 0.182
Co: 0.496 0.991 0.182
Co: 0.667 0.333 0.431
Co: 0.667 0.333 0.935
Co: 0.835 0.165 0.680
Co: 0.835 0.670 0.680